Entry 1:
Calculated powder diffractogram of ZrGaBi for Cu Kα X-rays, from DFT lattice parameters and positions (PBE).
Peak positions follow from Bragg's law for the DFT cell and can differ from measured ones.

Peak list (10 most intense, 15° ≤ 2θ ≤ 90°, in order of falling intensity)
d_spacing, I_rel
2.677, 100
2.472, 81
2.121, 51
2.457, 51
4.390, 32
3.425, 26
1.614, 22
1.605, 21
1.515, 17
1.211, 16

Structural model:
```
data_ZrGaBi
_space_group_name_H-M_alt 'P 1'
_space_group_IT_number 1
_cell_length_a 6.853
_cell_length_b 5.567
_cell_length_c 5.686
_cell_angle_alpha 75.03
_cell_angle_beta 51.70
_cell_angle_gamma 53.28
loop_
_space_group_symop_operation_xyz
'x,y,z'
loop_
_atom_site_label
_atom_site_type_symbol
_atom_site_fract_x
_atom_site_fract_y
_atom_site_fract_z
_atom_site_occupancy
Zr1 Zr 0.000 0.000 0.000 1
Zr2 Zr 0.250 0.250 0.250 1
Ga1 Ga 0.315 0.315 0.685 1
Ga2 Ga 0.565 0.565 0.935 1
Bi1 Bi 0.660 0.660 0.340 1
Bi2 Bi 0.910 0.910 0.590 1
```


Entry 2:
Calculated powder diffractogram of Zr5Ga2Bi for Cu Kα X-rays, from DFT lattice parameters and positions (PBE).
Peak positions follow from Bragg's law for the DFT cell and can differ from measured ones.

Peak list (10 most intense, 15° ≤ 2θ ≤ 90°, in order of falling intensity)
d_spacing, I_rel
2.598, 100
2.325, 70
2.405, 41
2.713, 35
1.313, 24
1.644, 22
1.299, 21
1.591, 21
4.025, 17
1.521, 16

Structural model:
```
data_Zr5Ga2Bi
_space_group_name_H-M_alt 'P 1'
_space_group_IT_number 1
_cell_length_a 8.215
_cell_length_b 8.215
_cell_length_c 8.215
_cell_angle_alpha 126.84
_cell_angle_beta 126.84
_cell_angle_gamma 78.51
loop_
_space_group_symop_operation_xyz
'x,y,z'
loop_
_atom_site_label
_atom_site_type_symbol
_atom_site_fract_x
_atom_site_fract_y
_atom_site_fract_z
_atom_site_occupancy
Zr1 Zr 0.000 0.000 0.000 1
Zr2 Zr 0.010 0.510 0.816 1
Zr3 Zr 0.195 0.010 0.500 1
Zr4 Zr 0.305 0.805 0.816 1
Zr5 Zr 0.490 0.305 0.500 1
Zr6 Zr 0.500 0.500 0.000 1
Zr7 Zr 0.510 0.695 0.500 1
Zr8 Zr 0.695 0.195 0.184 1
Zr9 Zr 0.805 0.990 0.500 1
Zr10 Zr 0.990 0.490 0.184 1
Ga1 Ga 0.137 0.363 0.500 1
Ga2 Ga 0.363 0.863 0.225 1
Ga3 Ga 0.637 0.137 0.775 1
Ga4 Ga 0.863 0.637 0.500 1
Bi1 Bi 0.250 0.250 0.000 1
Bi2 Bi 0.750 0.750 0.000 1
```